# 1
Starting from a cell relaxed with PBE, the X-ray powder pattern of YSnO3 was computed for λ = 1.5418 Å (Cu Kα).
Intensities are scaled so that the largest is 100.

Top 8 peaks for 2θ from 10° to 90°, sorted by position:
(0 0 4), 28.1 deg, intensity 59; (1 0 1), 28.7 deg, intensity 100; (1 0 2), 31.2 deg, intensity 88; (1 0 3), 35.0 deg, intensity 24; (1 0 5), 45.5 deg, intensity 31; (1 1 0), 49.1 deg, intensity 53; (1 0 6), 51.7 deg, intensity 31; (1 1 4), 57.5 deg, intensity 47

a = 3.7106 Å, b = 3.7106 Å, c = 12.7170 Å
α = 90.00°, β = 90.00°, γ = 120.00°
Space group P6_3/mmc (No. 194)
Unique sites:
Y 0.0000 0.0000 0.0000
Sn 0.3333 0.6667 0.2500
O 0.0000 0.0000 0.2500
O 0.3333 0.6667 0.0772

# 2
Starting from a cell relaxed with PBE, the X-ray powder pattern of YSnO3 was computed for λ = 1.5418 Å (Cu Kα).
Intensities are scaled so that the largest is 100.

Top 8 peaks for 2θ from 10° to 90°, sorted by position:
(1 0 0), 21.5 deg, intensity 7; (1 1 0), 30.5 deg, intensity 100; (2 0 0), 43.7 deg, intensity 33; (2 1 1), 54.2 deg, intensity 41; (2 2 0), 63.5 deg, intensity 20; (3 1 0), 72.1 deg, intensity 18; (2 2 2), 80.3 deg, intensity 7; (3 2 1), 88.3 deg, intensity 23

a = 4.1419 Å, b = 4.1419 Å, c = 4.1419 Å
α = 90.00°, β = 90.00°, γ = 90.00°
Space group Pm-3m (No. 221)
Unique sites:
Y 0.0000 0.0000 0.0000
Sn 0.5000 0.5000 0.5000
O 0.0000 0.5000 0.5000

# 3
Starting from a cell relaxed with PBE, the X-ray powder pattern of Zn2Sn9O13 was computed for λ = 1.5418 Å (Cu Kα).
Intensities are scaled so that the largest is 100.

Top 8 peaks for 2θ from 10° to 90°, sorted by position:
(0 1 3), 22.8 deg, intensity 52; (0 1 4), 27.9 deg, intensity 72; (0 2 -4), 29.2 deg, intensity 100; (1 -2 0), 33.0 deg, intensity 96; (1 1 0), 33.6 deg, intensity 50; (1 -1 3), 34.3 deg, intensity 54; (1 0 -4), 34.5 deg, intensity 73; (1 -4 3), 51.6 deg, intensity 58

a = 3.1886 Å, b = 7.8969 Å, c = 16.0334 Å
α = 101.04°, β = 95.38°, γ = 101.49°
Space group P-1 (No. 2)
Unique sites:
Zn 0.0827 0.4377 0.2448
Sn 0.0000 0.5000 0.0000
Sn 0.1494 0.2008 0.6040
Sn 0.2485 0.1750 0.8104
Sn 0.3713 0.1481 0.1009
Sn 0.4335 0.7769 0.5951
O 0.0000 0.0000 0.5000
O 0.0448 0.6690 0.9129
O 0.2945 0.3707 0.7278
O 0.3131 0.6769 0.4449
O 0.3991 0.9396 0.3484
O 0.4002 0.3634 0.9311
O 0.4901 0.2721 0.2305

# 4
Starting from a cell relaxed with PBE, the X-ray powder pattern of ZnSn4O6 was computed for λ = 1.5418 Å (Cu Kα).
Intensities are scaled so that the largest is 100.

Top 8 peaks for 2θ from 10° to 90°, sorted by position:
(0 4 0), 28.5 deg, intensity 34; (0 2 5), 30.0 deg, intensity 100; (1 1 2), 31.3 deg, intensity 55; (1 3 1), 36.3 deg, intensity 35; (1 3 2), 37.5 deg, intensity 32; (1 1 7), 48.1 deg, intensity 30; (1 5 4), 51.4 deg, intensity 20; (1 3 7), 52.6 deg, intensity 30

a = 3.1269 Å, b = 12.5489 Å, c = 16.9147 Å
α = 90.00°, β = 90.00°, γ = 90.00°
Space group Cmcm (No. 63)
Unique sites:
Zn 0.0000 0.1703 0.2500
Sn 0.0000 0.0829 0.6660
Sn 0.0000 0.3743 0.5397
O 0.0000 0.0000 0.0000
O 0.0000 0.2419 0.7500
O 0.0000 0.3447 0.1066
O 0.0000 0.4522 0.6563

# 5
Starting from a cell relaxed with PBE, the X-ray powder pattern of ZnSn4O8 was computed for λ = 1.5418 Å (Cu Kα).
Intensities are scaled so that the largest is 100.

Top 8 peaks for 2θ from 10° to 90°, sorted by position:
(0 0 1), 11.2 deg, intensity 57; (2 0 -2), 18.1 deg, intensity 74; (4 0 0), 28.0 deg, intensity 100; (4 0 -3), 28.5 deg, intensity 42; (1 1 1), 32.2 deg, intensity 73; (3 1 -1), 32.4 deg, intensity 72; (6 0 -2), 34.1 deg, intensity 47; (0 0 3), 34.1 deg, intensity 39

a = 15.8123 Å, b = 3.2446 Å, c = 9.7864 Å
α = 90.00°, β = 126.38°, γ = 90.00°
Space group Cm (No. 8)
Unique sites:
Zn 0.0000 0.0000 0.0000
Sn 0.0301 0.0000 0.6803
Sn 0.0557 0.5000 0.3585
Sn 0.2936 0.5000 0.9815
Sn 0.3297 0.0000 0.6254
O 0.0362 0.5000 0.1282
O 0.0623 0.5000 0.5863
O 0.1695 0.0000 0.4633
O 0.1829 0.0000 0.8985
O 0.3421 0.5000 0.7795
O 0.3617 0.5000 0.5208
O 0.4590 0.5000 0.2895
O 0.4991 0.0000 0.7946

# 6
Starting from a cell relaxed with PBE, the X-ray powder pattern of Zn2Sn3O8 was computed for λ = 1.5418 Å (Cu Kα).
Intensities are scaled so that the largest is 100.

Top 8 peaks for 2θ from 10° to 90°, sorted by position:
(2 0 0), 17.9 deg, intensity 64; (2 0 1), 26.6 deg, intensity 27; (3 1 -1), 32.4 deg, intensity 31; (0 0 2), 33.3 deg, intensity 100; (2 2 -1), 36.5 deg, intensity 47; (4 2 -1), 47.4 deg, intensity 29; (4 2 1), 52.4 deg, intensity 31; (0 4 0), 59.5 deg, intensity 35

a = 10.1179 Å, b = 6.2170 Å, c = 5.4610 Å
α = 90.00°, β = 100.84°, γ = 90.00°
Space group C2/m (No. 12)
Unique sites:
Zn 0.2023 0.0000 0.0835
Sn 0.0000 0.2428 0.5000
Sn 0.0000 0.5000 0.0000
O 0.1040 0.5000 0.3656
O 0.1096 0.0000 0.3772
O 0.1240 0.2709 0.8652

# 7
Starting from a cell relaxed with PBE, the X-ray powder pattern of Zn2Sn3O8 was computed for λ = 1.5418 Å (Cu Kα).
Intensities are scaled so that the largest is 100.

Top 8 peaks for 2θ from 10° to 90°, sorted by position:
(0 0 2), 18.7 deg, intensity 50; (1 0 2), 24.8 deg, intensity 21; (2 0 0), 32.6 deg, intensity 50; (2 0 1), 34.0 deg, intensity 100; (2 0 3), 43.6 deg, intensity 22; (2 1 3), 52.8 deg, intensity 21; (2 2 0), 58.3 deg, intensity 31; (2 0 5), 59.1 deg, intensity 28

a = 6.3349 Å, b = 6.3349 Å, c = 9.5061 Å
α = 90.00°, β = 90.00°, γ = 120.00°
Space group P6_3mc (No. 186)
Unique sites:
Zn 0.3333 0.6667 0.0000
Zn 0.3333 0.6667 0.3644
Sn 0.1641 0.3282 0.7046
O 0.0000 0.0000 0.3179
O 0.0328 0.5164 0.8303
O 0.1665 0.3330 0.0994
O 0.3333 0.6667 0.5866

# 8
Starting from a cell relaxed with PBE, the X-ray powder pattern of ZnSnO2 was computed for λ = 1.5418 Å (Cu Kα).
Intensities are scaled so that the largest is 100.

Top 8 peaks for 2θ from 10° to 90°, sorted by position:
(0 1 -1), 11.5 deg, intensity 72; (0 1 1), 16.3 deg, intensity 71; (0 1 -3), 24.7 deg, intensity 38; (0 0 3), 26.3 deg, intensity 91; (1 1 -1), 32.0 deg, intensity 100; (1 -2 0), 33.1 deg, intensity 85; (0 3 0), 33.7 deg, intensity 44; (0 3 -3), 35.0 deg, intensity 85

a = 3.1552 Å, b = 8.6013 Å, c = 10.8890 Å
α = 108.82°, β = 95.75°, γ = 98.81°
Space group P1 (No. 1)
Unique sites:
Zn 0.0000 0.0000 0.0000
Zn 0.1318 0.6235 0.3912
Zn 0.4154 0.7119 0.0790
Zn 0.6934 0.9120 0.3142
Sn 0.2580 0.6641 0.7505
Sn 0.3458 0.2676 0.3218
Sn 0.7593 0.3564 0.0727
Sn 0.8888 0.9589 0.6414
O 0.1597 0.2141 0.9637
O 0.2760 0.0646 0.3744
O 0.3516 0.4534 0.2203
O 0.4202 0.8510 0.9529
O 0.7133 0.7726 0.4396
O 0.7491 0.1715 0.1738
O 0.8320 0.5592 0.0197
O 0.9475 0.4107 0.4303

# 9
Starting from a cell relaxed with PBE, the X-ray powder pattern of ZnSnO3 was computed for λ = 1.5418 Å (Cu Kα).
Intensities are scaled so that the largest is 100.

Top 8 peaks for 2θ from 10° to 90°, sorted by position:
(0 1 2), 22.9 deg, intensity 35; (1 0 4), 31.7 deg, intensity 100; (1 1 0), 33.5 deg, intensity 83; (0 2 4), 46.8 deg, intensity 41; (1 1 6), 51.5 deg, intensity 33; (2 1 4), 58.8 deg, intensity 38; (3 0 0), 59.9 deg, intensity 29; (1 3 4), 79.3 deg, intensity 14

a = 5.3509 Å, b = 5.3509 Å, c = 14.2244 Å
α = 90.00°, β = 90.00°, γ = 120.00°
Space group R3c (No. 161, hexagonal axes)
Unique sites:
Zn 0.0000 0.0000 0.0000
Sn 0.0000 0.0000 0.2178
O 0.0362 0.3581 0.2868

# 10
Starting from a cell relaxed with PBE, the X-ray powder pattern of ZnSn4O8 was computed for λ = 1.5418 Å (Cu Kα).
Intensities are scaled so that the largest is 100.

Top 8 peaks for 2θ from 10° to 90°, sorted by position:
(2 0 -2), 16.9 deg, intensity 58; (4 0 -1), 25.3 deg, intensity 82; (2 0 -3), 26.6 deg, intensity 88; (1 1 1), 33.1 deg, intensity 56; (3 1 -1), 33.2 deg, intensity 100; (1 1 -2), 33.5 deg, intensity 67; (3 1 -2), 33.7 deg, intensity 52; (7 1 -2), 52.7 deg, intensity 57

a = 15.2844 Å, b = 3.2229 Å, c = 10.4891 Å
α = 90.00°, β = 132.36°, γ = 90.00°
Space group Cm (No. 8)
Unique sites:
Zn 0.0000 0.0000 0.0000
Sn 0.1338 0.0000 0.4646
Sn 0.1463 0.5000 0.8055
Sn 0.3294 0.0000 0.1731
Sn 0.3416 0.5000 0.5144
O 0.0268 0.0000 0.7127
O 0.1288 0.5000 0.5893
O 0.1520 0.5000 0.3534
O 0.2087 0.5000 0.0613
O 0.2665 0.0000 0.9173
O 0.3230 0.0000 0.6249
O 0.3457 0.0000 0.3884
O 0.4485 0.5000 0.2662

# 11
Starting from a cell relaxed with PBE, the X-ray powder pattern of ZnSn5O7 was computed for λ = 1.5418 Å (Cu Kα).
Intensities are scaled so that the largest is 100.

Top 8 peaks for 2θ from 10° to 90°, sorted by position:
(0 2 5), 25.6 deg, intensity 23; (0 2 6), 28.7 deg, intensity 100; (1 1 3), 31.2 deg, intensity 38; (1 1 4), 32.9 deg, intensity 38; (1 3 1), 38.1 deg, intensity 44; (1 3 2), 38.7 deg, intensity 41; (0 0 12), 47.2 deg, intensity 27; (2 2 6), 65.2 deg, intensity 21

a = 3.2247 Å, b = 10.5524 Å, c = 23.1163 Å
α = 90.00°, β = 90.00°, γ = 90.00°
Space group Cmcm (No. 63)
Unique sites:
Zn 0.0000 0.1479 0.2500
Sn 0.0000 0.0000 0.0000
Sn 0.0000 0.2820 0.5870
Sn 0.0000 0.4422 0.1670
O 0.0000 0.0721 0.1546
O 0.0000 0.1896 0.6807
O 0.0000 0.3712 0.0817
O 0.0000 0.4717 0.7500

# 12
Starting from a cell relaxed with PBE, the X-ray powder pattern of ZnSnO3 was computed for λ = 1.5418 Å (Cu Kα).
Intensities are scaled so that the largest is 100.

Top 8 peaks for 2θ from 10° to 90°, sorted by position:
(1 2 1), 32.6 deg, intensity 100; (2 0 0), 33.1 deg, intensity 23; (0 0 2), 33.3 deg, intensity 23; (0 4 0), 45.7 deg, intensity 13; (2 0 2), 47.7 deg, intensity 21; (3 2 1), 58.8 deg, intensity 22; (1 2 3), 59.0 deg, intensity 25; (2 4 2), 68.2 deg, intensity 13

a = 5.4077 Å, b = 7.9402 Å, c = 5.3805 Å
α = 90.00°, β = 90.00°, γ = 90.00°
Space group Pnma (No. 62)
Unique sites:
Zn 0.0300 0.2500 0.0058
Sn 0.0000 0.0000 0.5000
O 0.0950 0.7500 0.6284
O 0.1746 0.5714 0.1701